Diffraction record for PrNdDy4Se8. The powder X-ray diffraction pattern is calculated, not measured: it uses a crystal structure in Alexandria, relaxed with GGA-PBE and Cu Kα.

Structure:
```
data_PrNdDy4Se8
_chemical_formula_sum 'Pr3 Nd3 Dy12 Se24'
_cell_length_a 8.4889
_cell_length_b 8.4889
_cell_length_c 21.0392
_cell_angle_alpha 90.00
_cell_angle_beta 90.00
_cell_angle_gamma 120.00
_symmetry_space_group_name_H-M 'R 3 m'
_symmetry_Int_Tables_number 160
_symmetry_space_group_name_Hall 'R 3 -2"'
loop_
_atom_site_label
_atom_site_type_symbol
_atom_site_fract_x
_atom_site_fract_y
_atom_site_fract_z
Pr1 Pr 0.0000 0.0000 0.0000
Nd1 Nd 0.0000 0.0000 0.6260
Dy1 Dy 0.0000 0.0000 0.2530
Dy2 Dy 0.0024 0.5012 0.1273
Se1 Se 0.0000 0.0000 0.3847
Se2 Se 0.0000 0.0000 0.8642
Se3 Se 0.0234 0.5117 0.3837
Se4 Se 0.1726 0.3451 0.2048
```

Top 6 peaks for 5° ≤ 2θ ≤ 70°, sorted by position:
2theta, I/Imax, hkl
24.37, 313, 0 1 5
24.54, 1000, 0 2 1
29.65, 703, 0 2 4
38.88, 478, 0 3 3
42.25, 685, 2 0 8
42.60, 698, 2 2 0